Entry 1:
Diffraction record for CoNi6Ge. The powder X-ray diffraction pattern is simulated, not measured: it uses a crystal structure in Alexandria, relaxed with PBE and Cu Ka.

Largest 5 diffraction maxima, in order of rising 2θ, 2θ from 10° to 80°:
- 2θ = 44.17°, d = 2.051 Å, intensity 100
- 2θ = 51.38°, d = 1.778 Å, intensity 16
- 2θ = 51.49°, d = 1.775 Å, intensity 31
- 2θ = 75.73°, d = 1.256 Å, intensity 23
- 2θ = 75.82°, d = 1.255 Å, intensity 4

Crystal structure
abc: 6.151 6.151 10.041
angles: 90.00 90.00 109.36
Fractional positions:
Co: 0.000 0.000 0.247
Co: 0.000 0.000 0.753
Co: 0.249 0.751 0.000
Co: 0.751 0.249 0.000
Ni: 0.000 0.000 0.000
Ni: 0.000 0.000 0.500
Ni: 0.122 0.374 0.124
Ni: 0.122 0.374 0.876
Ni: 0.124 0.372 0.374
Ni: 0.124 0.372 0.626
Ni: 0.248 0.752 0.247
Ni: 0.248 0.752 0.753
Ni: 0.372 0.124 0.374
Ni: 0.372 0.124 0.626
Ni: 0.374 0.122 0.124
Ni: 0.374 0.122 0.876
Ni: 0.500 0.500 0.000
Ni: 0.500 0.500 0.500
Ni: 0.626 0.878 0.124
Ni: 0.626 0.878 0.876
Ni: 0.628 0.876 0.374
Ni: 0.628 0.876 0.626
Ni: 0.752 0.248 0.247
Ni: 0.752 0.248 0.753
Ni: 0.876 0.628 0.374
Ni: 0.876 0.628 0.626
Ni: 0.878 0.626 0.124
Ni: 0.878 0.626 0.876
Ge: 0.249 0.751 0.500
Ge: 0.500 0.500 0.248
Ge: 0.500 0.500 0.752
Ge: 0.751 0.249 0.500

Entry 2:
Diffraction record for LiHg6Pd. The powder X-ray diffraction pattern is simulated, not measured: it uses a crystal structure in Alexandria, relaxed with PBE and Cu Ka.

Largest 10 diffraction maxima, in order of rising 2θ, 2θ from 10° to 80°:
- 2θ = 27.23°, d = 3.275 Å, intensity 98
- 2θ = 29.56°, d = 3.022 Å, intensity 41
- 2θ = 37.79°, d = 2.380 Å, intensity 32
- 2θ = 39.96°, d = 2.256 Å, intensity 24
- 2θ = 40.62°, d = 2.221 Å, intensity 100
- 2θ = 48.63°, d = 1.872 Å, intensity 11
- 2θ = 48.76°, d = 1.868 Å, intensity 11
- 2θ = 50.48°, d = 1.808 Å, intensity 16
- 2θ = 56.17°, d = 1.638 Å, intensity 17
- 2θ = 73.02°, d = 1.296 Å, intensity 13

Crystal structure
abc: 7.783 7.783 4.761
angles: 107.75 107.75 120.84
Fractional positions:
Li: 0.000 0.000 0.000
Hg: 0.069 0.431 0.249
Hg: 0.248 0.248 0.749
Hg: 0.431 0.069 0.249
Hg: 0.569 0.931 0.751
Hg: 0.752 0.752 0.251
Hg: 0.931 0.569 0.751
Pd: 0.500 0.500 0.500

Entry 3:
Diffraction record for La3Tb4Nd3. The powder X-ray diffraction pattern is simulated, not measured: it uses a crystal structure in Alexandria, relaxed with PBE and Cu Ka.

Largest 10 diffraction maxima, in order of rising 2θ, 2θ from 10° to 80°:
- 2θ = 25.73°, d = 3.462 Å, intensity 13
- 2θ = 28.83°, d = 3.097 Å, intensity 62
- 2θ = 30.28°, d = 2.952 Å, intensity 31
- 2θ = 31.66°, d = 2.826 Å, intensity 100
- 2θ = 32.98°, d = 2.716 Å, intensity 18
- 2θ = 37.89°, d = 2.375 Å, intensity 20
- 2θ = 41.23°, d = 2.189 Å, intensity 15
- 2θ = 53.78°, d = 1.704 Å, intensity 20
- 2θ = 56.38°, d = 1.632 Å, intensity 22
- 2θ = 58.09°, d = 1.588 Å, intensity 17

Crystal structure
abc: 3.699 9.792 9.792
angles: 90.04 90.00 90.00
Fractional positions:
La: 0.000 0.000 0.000
La: 0.500 0.175 0.673
La: 0.500 0.673 0.175
Tb: 0.500 0.054 0.299
Tb: 0.500 0.299 0.054
Tb: 0.500 0.552 0.552
Tb: 0.500 0.796 0.796
Nd: 0.000 0.350 0.350
Nd: 0.000 0.500 0.849
Nd: 0.000 0.849 0.500

Entry 4:
Diffraction record for Dy2ZnTe2S2O14. The powder X-ray diffraction pattern is simulated, not measured: it uses a crystal structure in Alexandria, relaxed with PBE and Cu Ka.

Largest 10 diffraction maxima, in order of rising 2θ, 2θ from 10° to 80°:
- 2θ = 13.28°, d = 6.667 Å, intensity 67
- 2θ = 24.20°, d = 3.677 Å, intensity 83
- 2θ = 24.56°, d = 3.625 Å, intensity 77
- 2θ = 25.07°, d = 3.552 Å, intensity 100
- 2θ = 26.45°, d = 3.370 Å, intensity 48
- 2θ = 27.31°, d = 3.265 Å, intensity 40
- 2θ = 30.02°, d = 2.977 Å, intensity 70
- 2θ = 30.20°, d = 2.959 Å, intensity 37
- 2θ = 34.69°, d = 2.586 Å, intensity 39
- 2θ = 35.36°, d = 2.538 Å, intensity 39

Crystal structure
abc: 5.304 7.915 8.181
angles: 64.01 73.64 85.53
Fractional positions:
Dy: 0.080 0.253 0.017
Dy: 0.920 0.747 0.983
Zn: 0.000 0.000 0.500
Te: 0.481 0.727 0.663
Te: 0.519 0.273 0.337
S: 0.242 0.754 0.248
S: 0.758 0.246 0.752
O: 0.109 0.594 0.251
O: 0.142 0.770 0.429
O: 0.177 0.925 0.088
O: 0.245 0.561 0.895
O: 0.248 0.925 0.669
O: 0.278 0.195 0.247
O: 0.470 0.267 0.789
O: 0.530 0.733 0.211
O: 0.722 0.805 0.753
O: 0.752 0.075 0.331
O: 0.755 0.439 0.105
O: 0.823 0.075 0.912
O: 0.858 0.230 0.571
O: 0.891 0.406 0.749

Entry 5:
Diffraction record for TaNb. The powder X-ray diffraction pattern is simulated, not measured: it uses a crystal structure in Alexandria, relaxed with PBE and Cu Ka.

Largest 10 diffraction maxima, in order of rising 2θ, 2θ from 10° to 80°:
- 2θ = 35.10°, d = 2.556 Å, intensity 16
- 2θ = 35.65°, d = 2.519 Å, intensity 28
- 2θ = 36.72°, d = 2.447 Å, intensity 100
- 2θ = 37.24°, d = 2.414 Å, intensity 23
- 2θ = 39.78°, d = 2.266 Å, intensity 76
- 2θ = 42.67°, d = 2.119 Å, intensity 33
- 2θ = 43.12°, d = 2.098 Å, intensity 15
- 2θ = 65.45°, d = 1.426 Å, intensity 18
- 2θ = 68.17°, d = 1.376 Å, intensity 15
- 2θ = 74.19°, d = 1.278 Å, intensity 20

Crystal structure
abc: 14.687 2.938 5.190
angles: 90.00 90.00 90.00
Fractional positions:
Ta: 0.000 0.248 0.000
Ta: 0.166 0.501 0.248
Ta: 0.334 0.498 0.748
Ta: 0.500 0.752 0.500
Ta: 0.666 0.498 0.748
Ta: 0.834 0.501 0.248
Nb: 0.000 0.750 0.497
Nb: 0.165 0.998 0.749
Nb: 0.335 0.002 0.249
Nb: 0.500 0.250 0.997
Nb: 0.665 0.002 0.249
Nb: 0.835 0.998 0.749